(1)
This entry pairs a crystal structure of Na2Pr4Br9NO with its calculated X-ray diffraction stick pattern. Radiation: Cu Kα (λ = 1.5418 Å). Structure: a DFT-relaxed cell (GGA-PBE, Alexandria).
Kinematic intensities with the Lorentz-polarization factor, no thermal factor.

Main lines, sorted by position (5 to 70 degrees two-theta):
two_theta  I/Imax
9.37  100
10.50  53
29.42  33
30.15  25
31.02  65
31.23  56
32.00  37
32.22  67
32.77  43
35.59  23
35.74  24
36.49  24

Cell and atoms:
Cell lengths 8.7900, 11.8604, 9.8496 Å; angles 90.00, 106.58, 90.00 degrees
Fractional coordinates of all 34 atoms:
Na (0.2169, 0.0000, 0.4260)
Na (0.2189, 0.5422, 0.4261)
Na (0.7811, 0.0422, 0.5739)
Na (0.7831, 0.5000, 0.5740)
Pr (0.2921, 0.0558, 0.9540)
Pr (0.3005, 0.4701, 0.9556)
Pr (0.3919, 0.7697, 0.7897)
Pr (0.4077, 0.7698, 0.1640)
Pr (0.5923, 0.2698, 0.8360)
Pr (0.6081, 0.2697, 0.2103)
Pr (0.6995, 0.9701, 0.0444)
Pr (0.7079, 0.5558, 0.0460)
Br (0.0977, 0.9301, 0.6883)
Br (0.1026, 0.6081, 0.6943)
Br (0.1131, 0.9193, 0.1205)
Br (0.1168, 0.6157, 0.1155)
Br (0.2325, 0.2674, 0.7438)
Br (0.2546, 0.2674, 0.1441)
Br (0.3530, 0.7708, 0.4666)
Br (0.4920, 0.0226, 0.6966)
Br (0.4924, 0.5152, 0.6962)
Br (0.5076, 0.0152, 0.3038)
Br (0.5080, 0.5226, 0.3034)
Br (0.6470, 0.2708, 0.5334)
Br (0.7454, 0.7674, 0.8559)
Br (0.7675, 0.7674, 0.2562)
Br (0.8832, 0.1157, 0.8845)
Br (0.8869, 0.4193, 0.8795)
Br (0.8974, 0.1081, 0.3057)
Br (0.9023, 0.4301, 0.3117)
N (0.4406, 0.8913, 0.9850)
N (0.5594, 0.3913, 0.0150)
O (0.4449, 0.6407, 0.9855)
O (0.5551, 0.1407, 0.0145)



(2)
This entry pairs a crystal structure of NbBr4NO with its calculated X-ray diffraction stick pattern. Radiation: Cu Kα (λ = 1.5418 Å). Structure: a DFT-relaxed cell (GGA-PBE, Alexandria).
Kinematic intensities with the Lorentz-polarization factor, no thermal factor.

Main lines, sorted by position (5 to 70 degrees two-theta):
two_theta  I/Imax
12.58  93
23.29  100
24.58  61
28.56  38
30.03  32
30.19  46
30.45  17
33.81  20
36.44  25
38.39  21
46.12  19
47.17  24

Cell and atoms:
Cell lengths 8.8347, 8.8347, 8.9300 Å; angles 110.65, 110.65, 85.36 degrees
Fractional coordinates of all 21 atoms:
Nb (0.0000, 0.0000, 0.0000)
Nb (0.3314, 0.3314, 0.3436)
Nb (0.6686, 0.6686, 0.6564)
Br (0.0582, 0.0582, 0.7400)
Br (0.1508, 0.4040, 0.5418)
Br (0.1860, 0.5259, 0.2061)
Br (0.2089, 0.7911, 0.0000)
Br (0.4040, 0.1508, 0.5418)
Br (0.4741, 0.8140, 0.7939)
Br (0.5259, 0.1860, 0.2061)
Br (0.5960, 0.8492, 0.4582)
Br (0.7911, 0.2089, 0.0000)
Br (0.8140, 0.4741, 0.7939)
Br (0.8492, 0.5960, 0.4582)
Br (0.9418, 0.9418, 0.2600)
N (0.1081, 0.8919, 0.5000)
N (0.5000, 0.5000, 0.0000)
N (0.8919, 0.1081, 0.5000)
O (0.1641, 0.1641, 0.1670)
O (0.5000, 0.5000, 0.5000)
O (0.8359, 0.8359, 0.8330)



(3)
This entry pairs a crystal structure of Nd8Os3Br4N with its calculated X-ray diffraction stick pattern. Radiation: Cu Kα (λ = 1.5418 Å). Structure: a DFT-relaxed cell (GGA-PBE, Alexandria).
Kinematic intensities with the Lorentz-polarization factor, no thermal factor.

Main lines, sorted by position (5 to 70 degrees two-theta):
two_theta  I/Imax
11.34  57
29.68  53
29.70  100
31.87  10
37.15  30
40.13  41
44.75  55
46.32  11
50.14  18
54.61  18
54.66  9
61.66  12

Cell and atoms:
Cell lengths 8.1000, 8.1000, 9.0914 Å; angles 116.40, 116.40, 60.03 degrees
Fractional coordinates of all 16 atoms:
Nd (0.2188, 0.2188, 0.6835)
Nd (0.2191, 0.7457, 0.6839)
Nd (0.2543, 0.7809, 0.3161)
Nd (0.2645, 0.2645, 0.2933)
Nd (0.7355, 0.7355, 0.7067)
Nd (0.7457, 0.2191, 0.6839)
Nd (0.7809, 0.2543, 0.3161)
Nd (0.7812, 0.7812, 0.3165)
Os (0.0000, 0.5000, 0.5000)
Os (0.5000, 0.0000, 0.5000)
Os (0.5000, 0.5000, 0.5000)
Br (0.0000, 0.0000, 0.0000)
Br (0.0000, 0.5000, 0.0000)
Br (0.5000, 0.0000, 0.0000)
Br (0.5000, 0.5000, 0.0000)
N (0.0000, 0.0000, 0.5000)



(4)
This entry pairs a crystal structure of Nd6S4BrN3 with its calculated X-ray diffraction stick pattern. Radiation: Cu Kα (λ = 1.5418 Å). Structure: a DFT-relaxed cell (GGA-PBE, Alexandria).
Kinematic intensities with the Lorentz-polarization factor, no thermal factor.

Main lines, sorted by position (5 to 70 degrees two-theta):
two_theta  I/Imax
26.59  100
26.81  71
28.57  31
31.88  37
32.63  20
33.69  53
36.94  17
37.85  19
38.53  17
44.99  31
45.64  20
53.02  33

Cell and atoms:
Cell lengths 11.5351, 4.0299, 27.3819 Å; angles 90.00, 90.00, 90.00 degrees
Fractional coordinates of all 56 atoms:
Nd (0.0578, 0.2500, 0.0783)
Nd (0.0625, 0.2500, 0.8073)
Nd (0.0993, 0.2500, 0.5353)
Nd (0.1243, 0.2500, 0.2831)
Nd (0.2428, 0.7500, 0.1709)
Nd (0.2484, 0.7500, 0.4360)
Nd (0.2516, 0.2500, 0.9360)
Nd (0.2572, 0.2500, 0.6709)
Nd (0.3757, 0.7500, 0.7831)
Nd (0.4007, 0.7500, 0.0353)
Nd (0.4375, 0.7500, 0.3073)
Nd (0.4422, 0.7500, 0.5783)
Nd (0.5578, 0.2500, 0.4217)
Nd (0.5625, 0.2500, 0.6927)
Nd (0.5993, 0.2500, 0.9647)
Nd (0.6243, 0.2500, 0.2169)
Nd (0.7428, 0.7500, 0.3291)
Nd (0.7484, 0.7500, 0.0640)
Nd (0.7516, 0.2500, 0.5640)
Nd (0.7572, 0.2500, 0.8291)
Nd (0.8757, 0.7500, 0.7169)
Nd (0.9007, 0.7500, 0.4647)
Nd (0.9375, 0.7500, 0.1927)
Nd (0.9422, 0.7500, 0.9217)
S (0.1369, 0.7500, 0.7355)
S (0.1429, 0.7500, 0.9938)
S (0.1913, 0.7500, 0.8620)
S (0.2074, 0.7500, 0.6022)
S (0.2926, 0.2500, 0.1022)
S (0.3087, 0.2500, 0.3620)
S (0.3571, 0.2500, 0.4938)
S (0.3631, 0.2500, 0.2355)
S (0.6369, 0.7500, 0.7645)
S (0.6429, 0.7500, 0.5062)
S (0.6913, 0.7500, 0.6380)
S (0.7074, 0.7500, 0.8978)
S (0.7926, 0.2500, 0.3978)
S (0.8087, 0.2500, 0.1380)
S (0.8571, 0.2500, 0.0062)
S (0.8631, 0.2500, 0.2645)
Br (0.0392, 0.7500, 0.3627)
Br (0.4608, 0.2500, 0.8627)
Br (0.5392, 0.7500, 0.1373)
Br (0.9608, 0.2500, 0.6373)
N (0.0608, 0.7500, 0.1253)
N (0.0984, 0.7500, 0.4862)
N (0.1118, 0.7500, 0.2377)
N (0.3882, 0.2500, 0.7377)
N (0.4016, 0.2500, 0.9862)
N (0.4392, 0.2500, 0.6253)
N (0.5608, 0.7500, 0.3747)
N (0.5984, 0.7500, 0.0138)
N (0.6118, 0.7500, 0.2623)
N (0.8882, 0.2500, 0.7623)
N (0.9016, 0.2500, 0.5138)
N (0.9392, 0.2500, 0.8747)



(5)
This entry pairs a crystal structure of Np2SBr2N with its calculated X-ray diffraction stick pattern. Radiation: Cu Kα (λ = 1.5418 Å). Structure: a DFT-relaxed cell (GGA-PBE, Alexandria).
Kinematic intensities with the Lorentz-polarization factor, no thermal factor.

Main lines, sorted by position (5 to 70 degrees two-theta):
two_theta  I/Imax
7.72  100
14.66  19
25.05  28
26.49  11
27.33  13
27.78  36
30.55  37
33.74  25
37.75  27
41.21  10
46.86  11
58.98  10

Cell and atoms:
Cell lengths 3.8775, 11.4569, 7.1098 Å; angles 90.00, 90.00, 90.00 degrees
Fractional coordinates of all 12 atoms:
Np (0.0000, 0.0595, 0.0000)
Np (0.0000, 0.9405, 0.5000)
Np (0.5000, 0.2088, 0.4036)
Np (0.5000, 0.7912, 0.9036)
S (0.5000, 0.0565, 0.7030)
S (0.5000, 0.9435, 0.2030)
Br (0.0000, 0.3832, 0.5249)
Br (0.0000, 0.6168, 0.0249)
Br (0.5000, 0.2714, 0.0160)
Br (0.5000, 0.7286, 0.5160)
N (0.0000, 0.1224, 0.3548)
N (0.0000, 0.8776, 0.8548)



(6)
This entry pairs a crystal structure of TiBrNO2 with its calculated X-ray diffraction stick pattern. Radiation: Cu Kα (λ = 1.5418 Å). Structure: a DFT-relaxed cell (GGA-PBE, Alexandria).
Kinematic intensities with the Lorentz-polarization factor, no thermal factor.

Main lines, sorted by position (5 to 70 degrees two-theta):
two_theta  I/Imax
22.42  9
25.38  34
29.91  24
39.64  100
45.76  16
47.70  12
52.13  11
53.05  9
61.27  7
62.15  12
67.45  9
68.24  8

Cell and atoms:
Cell lengths 3.5089, 3.9657, 4.5422 Å; angles 90.00, 90.00, 90.00 degrees
Fractional coordinates of all 5 atoms:
Ti (0.0000, 0.0000, 0.0000)
Br (0.0000, 0.5000, 0.5000)
N (0.0000, 0.5000, 0.0000)
O (0.5000, 0.0000, 0.5000)
O (0.5000, 0.5000, 0.0000)



(7)
This entry pairs a crystal structure of Pa2P2BrN6 with its calculated X-ray diffraction stick pattern. Radiation: Cu Kα (λ = 1.5418 Å). Structure: a DFT-relaxed cell (GGA-PBE, Alexandria).
Kinematic intensities with the Lorentz-polarization factor, no thermal factor.

Main lines, sorted by position (5 to 70 degrees two-theta):
two_theta  I/Imax
17.71  100
18.85  30
19.49  17
25.03  42
28.68  27
29.91  43
30.51  40
31.15  47
32.86  24
34.93  34
35.69  24
51.34  20

Cell and atoms:
Cell lengths 5.8744, 6.0409, 6.3602 Å; angles 70.10, 64.99, 64.34 degrees
Fractional coordinates of all 11 atoms:
Pa (0.0423, 0.3059, 0.2942)
Pa (0.9577, 0.6941, 0.7058)
P (0.4146, 0.6769, 0.2481)
P (0.5854, 0.3231, 0.7519)
Br (0.0000, 0.0000, 0.0000)
N (0.2550, 0.4834, 0.3805)
N (0.2720, 0.9028, 0.3889)
N (0.2771, 0.4104, 0.9035)
N (0.7229, 0.5896, 0.0965)
N (0.7280, 0.0972, 0.6111)
N (0.7450, 0.5166, 0.6195)



(8)
This entry pairs a crystal structure of PSe2BrN with its calculated X-ray diffraction stick pattern. Radiation: Cu Kα (λ = 1.5418 Å). Structure: a DFT-relaxed cell (GGA-PBE, Alexandria).
Kinematic intensities with the Lorentz-polarization factor, no thermal factor.

Main lines, sorted by position (5 to 70 degrees two-theta):
two_theta  I/Imax
16.66  8
27.61  9
32.42  27
33.68  100
36.66  97
44.09  10
47.45  18
48.38  34
56.61  5
57.00  10
62.20  40
67.87  24

Cell and atoms:
Cell lengths 5.3214, 5.3214, 3.2313 Å; angles 90.00, 90.00, 90.00 degrees
Fractional coordinates of all 5 atoms:
P (0.0000, 0.0000, 0.0000)
Se (0.0000, 0.5000, 0.0000)
Se (0.5000, 0.0000, 0.0000)
Br (0.5000, 0.5000, 0.5000)
N (0.0000, 0.0000, 0.5000)



(9)
This entry pairs a crystal structure of VPBrN with its calculated X-ray diffraction stick pattern. Radiation: Cu Kα (λ = 1.5418 Å). Structure: a DFT-relaxed cell (GGA-PBE, Alexandria).
Kinematic intensities with the Lorentz-polarization factor, no thermal factor.

Main lines, sorted by position (5 to 70 degrees two-theta):
two_theta  I/Imax
11.82  79
23.76  32
29.96  45
32.31  100
35.97  30
38.59  22
42.88  65
47.49  61
49.61  17
57.17  29
62.26  20
66.81  14

Cell and atoms:
Cell lengths 2.9826, 2.9826, 7.4900 Å; angles 90.00, 90.00, 90.00 degrees
Fractional coordinates of all 4 atoms:
V (0.0000, 0.0000, 0.0000)
P (0.5000, 0.5000, 0.2211)
Br (0.0000, 0.0000, 0.6727)
N (0.5000, 0.5000, 0.9880)



(10)
This entry pairs a crystal structure of Pa6Br15N with its calculated X-ray diffraction stick pattern. Radiation: Cu Kα (λ = 1.5418 Å). Structure: a DFT-relaxed cell (GGA-PBE, Alexandria).
Kinematic intensities with the Lorentz-polarization factor, no thermal factor.

Main lines, sorted by position (5 to 70 degrees two-theta):
two_theta  I/Imax
11.22  100
15.90  14
19.50  22
22.56  16
29.99  65
32.11  99
37.85  40
41.29  21
46.05  66
57.24  21
61.07  24
65.97  25

Cell and atoms:
Cell lengths 9.6560, 9.6560, 9.6560 Å; angles 109.47, 109.47, 109.47 degrees
Fractional coordinates of all 22 atoms:
Pa (0.0000, 0.2218, 0.2218)
Pa (0.0000, 0.7782, 0.7782)
Pa (0.2218, 0.0000, 0.2218)
Pa (0.2218, 0.2218, 0.0000)
Pa (0.7782, 0.0000, 0.7782)
Pa (0.7782, 0.7782, 0.0000)
Br (0.0000, 0.2533, 0.7467)
Br (0.0000, 0.5000, 0.5000)
Br (0.0000, 0.7467, 0.2533)
Br (0.2533, 0.0000, 0.7467)
Br (0.2533, 0.2533, 0.5066)
Br (0.2533, 0.5066, 0.2533)
Br (0.2533, 0.7467, 0.0000)
Br (0.4934, 0.7467, 0.7467)
Br (0.5000, 0.0000, 0.5000)
Br (0.5000, 0.5000, 0.0000)
Br (0.5066, 0.2533, 0.2533)
Br (0.7467, 0.0000, 0.2533)
Br (0.7467, 0.2533, 0.0000)
Br (0.7467, 0.4934, 0.7467)
Br (0.7467, 0.7467, 0.4934)
N (0.0000, 0.0000, 0.0000)



(11)
This entry pairs a crystal structure of Pb5Br12N2 with its calculated X-ray diffraction stick pattern. Radiation: Cu Kα (λ = 1.5418 Å). Structure: a DFT-relaxed cell (GGA-PBE, Alexandria).
Kinematic intensities with the Lorentz-polarization factor, no thermal factor.

Main lines, sorted by position (5 to 70 degrees two-theta):
two_theta  I/Imax
13.83  38
15.64  39
17.82  100
22.00  44
22.71  75
27.64  40
27.89  38
28.12  51
30.88  51
32.46  64
37.62  39
41.97  35

Cell and atoms:
Cell lengths 7.3478, 8.4489, 11.4602 Å; angles 94.08, 96.72, 100.21 degrees
Fractional coordinates of all 19 atoms:
Pb (0.0000, 0.0000, 0.0000)
Pb (0.2930, 0.6356, 0.5680)
Pb (0.3461, 0.6568, 0.1231)
Pb (0.6539, 0.3432, 0.8769)
Pb (0.7070, 0.3644, 0.4320)
Br (0.0056, 0.0452, 0.3700)
Br (0.0701, 0.5314, 0.3488)
Br (0.1942, 0.7441, 0.8967)
Br (0.2815, 0.3002, 0.9456)
Br (0.3121, 0.9823, 0.2038)
Br (0.4160, 0.3178, 0.6007)
Br (0.5840, 0.6822, 0.3993)
Br (0.6879, 0.0177, 0.7962)
Br (0.7185, 0.6998, 0.0544)
Br (0.8058, 0.2559, 0.1033)
Br (0.9299, 0.4686, 0.6512)
Br (0.9944, 0.9548, 0.6300)
N (0.1486, 0.9003, 0.5360)
N (0.8514, 0.0997, 0.4640)